Record 1
B3C7: theoretical PXRD pattern (Cu Kα (weighted mean of Kα1 and Kα2)), based on a structure optimized by DFT (GGA-PBE).
Lines closer than 0.1° are merged.

Cell and atoms:
abc: 4.541 4.541 6.421
angles: 116.00 116.00 32.42
Positions (direct):
B  0.000  0.000  0.000
B  0.586  0.586  0.650
B  0.805  0.805  0.205
C  0.009  0.009  0.272
C  0.193  0.193  0.037
C  0.203  0.203  0.810
C  0.380  0.380  0.836
C  0.386  0.386  0.597
C  0.601  0.601  0.386
C  0.795  0.795  0.461

Main lines, by angle (2θ from 10° to 90°):
| two_theta | Rel. int. |
| --- | --- |
| 41.8 | 44 |
| 42.3 | 56 |
| 42.7 | 100 |
| 71.2 | 27 |
| 71.9 | 26 |
| 72.9 | 12 |
| 74.9 | 12 |
| 84.9 | 11 |
| 88.0 | 10 |
| 90.0 | 9 |

Record 2
B5C: theoretical PXRD pattern (Cu Kα (weighted mean of Kα1 and Kα2)), based on a structure optimized by DFT (GGA-PBE).
Lines closer than 0.1° are merged.

Cell and atoms:
abc: 2.139 2.588 14.887
angles: 90.00 90.00 90.00
Positions (direct):
B  0.250  0.000  0.047
B  0.250  0.000  0.370
B  0.250  0.500  0.129
B  0.250  0.500  0.453
B  0.250  0.500  0.774
B  0.750  0.000  0.630
B  0.750  0.000  0.953
B  0.750  0.500  0.226
B  0.750  0.500  0.547
B  0.750  0.500  0.871
C  0.250  0.000  0.713
C  0.750  0.000  0.287

Main lines, by angle (2θ from 10° to 90°):
| two_theta | Rel. int. |
| --- | --- |
| 11.9 | 31 |
| 17.9 | 6 |
| 36.2 | 3 |
| 39.3 | 100 |
| 46.2 | 73 |
| 67.2 | 20 |
| 68.3 | 58 |
| 72.2 | 7 |
| 73.1 | 13 |
| 76.8 | 8 |

Record 3
B3C: theoretical PXRD pattern (Cu Kα (weighted mean of Kα1 and Kα2)), based on a structure optimized by DFT (GGA-PBE).
Lines closer than 0.1° are merged.

Cell and atoms:
abc: 6.261 6.261 5.470
angles: 96.53 96.53 24.33
Positions (direct):
B  0.000  0.000  0.000
B  0.188  0.188  0.761
B  0.232  0.232  0.085
B  0.326  0.326  0.797
B  0.501  0.501  0.611
B  0.649  0.649  0.318
B  0.761  0.761  0.581
B  0.803  0.803  0.275
B  0.928  0.928  0.428
C  0.109  0.109  0.177
C  0.450  0.450  0.878
C  0.633  0.633  0.637

Main lines, by angle (2θ from 10° to 90°):
| two_theta | Rel. int. |
| --- | --- |
| 14.6 | 35 |
| 16.3 | 12 |
| 20.6 | 16 |
| 32.0 | 13 |
| 34.6 | 47 |
| 39.0 | 100 |
| 41.9 | 20 |
| 61.9 | 16 |
| 68.5 | 20 |
| 71.5 | 15 |

Record 4
B3C7: theoretical PXRD pattern (Cu Kα (weighted mean of Kα1 and Kα2)), based on a structure optimized by DFT (GGA-PBE).
Lines closer than 0.1° are merged.

Cell and atoms:
abc: 11.004 11.004 11.004
angles: 13.47 13.47 13.47
Positions (direct):
B  0.000  0.000  0.000
B  0.155  0.155  0.155
B  0.401  0.401  0.401
C  0.205  0.205  0.205
C  0.353  0.353  0.353
C  0.553  0.553  0.553
C  0.602  0.602  0.602
C  0.757  0.757  0.757
C  0.801  0.801  0.801
C  0.949  0.949  0.949

Main lines, by angle (2θ from 10° to 90°):
| two_theta | Rel. int. |
| --- | --- |
| 16.3 | 3 |
| 32.9 | 2 |
| 41.4 | 30 |
| 42.7 | 100 |
| 45.0 | 2 |
| 71.5 | 25 |
| 73.4 | 25 |
| 86.1 | 9 |
| 87.9 | 13 |
| 88.8 | 8 |

Record 5
B3C: theoretical PXRD pattern (Cu Kα (weighted mean of Kα1 and Kα2)), based on a structure optimized by DFT (GGA-PBE).
Lines closer than 0.1° are merged.

Cell and atoms:
abc: 5.731 5.731 5.644
angles: 102.02 102.02 28.03
Positions (direct):
B  0.000  0.000  0.000
B  0.008  0.008  0.325
B  0.131  0.131  0.904
B  0.367  0.367  0.566
B  0.408  0.408  0.048
B  0.516  0.516  0.805
B  0.674  0.674  0.768
B  0.683  0.683  0.348
B  0.823  0.823  0.896
C  0.137  0.137  0.219
C  0.447  0.447  0.365
C  0.786  0.786  0.594

Main lines, by angle (2θ from 10° to 90°):
| two_theta | Rel. int. |
| --- | --- |
| 20.3 | 85 |
| 25.4 | 83 |
| 33.5 | 50 |
| 36.4 | 88 |
| 39.7 | 70 |
| 41.0 | 100 |
| 67.5 | 44 |
| 68.1 | 43 |
| 68.3 | 37 |
| 69.4 | 39 |

Record 6
B3C: theoretical PXRD pattern (Cu Kα (weighted mean of Kα1 and Kα2)), based on a structure optimized by DFT (GGA-PBE).
Lines closer than 0.1° are merged.

Cell and atoms:
abc: 6.088 6.088 4.969
angles: 92.47 92.47 26.23
Positions (direct):
B  0.000  0.000  0.000
B  0.009  0.009  0.652
B  0.140  0.140  0.858
B  0.188  0.188  0.204
B  0.284  0.284  0.873
B  0.543  0.543  0.425
B  0.723  0.723  0.691
B  0.815  0.815  0.358
B  0.867  0.867  0.718
C  0.347  0.347  0.211
C  0.472  0.472  0.150
C  0.674  0.674  0.365

Main lines, by angle (2θ from 10° to 90°):
| two_theta | Rel. int. |
| --- | --- |
| 15.0 | 7 |
| 17.9 | 14 |
| 36.2 | 12 |
| 37.9 | 100 |
| 40.0 | 28 |
| 46.0 | 17 |
| 48.9 | 20 |
| 66.7 | 29 |
| 66.8 | 16 |
| 67.8 | 17 |